Entry 1:
Diffraction record for NpUSiGe. The PXRD pattern is computed, not measured: it uses a GGA-PBE-relaxed structure and Cu Kα (λ = 1.5418 Å).
Peak positions follow from Bragg's law for the DFT cell and can differ from measured ones.

Principal peaks in the range 10° ≤ 2θ ≤ 80°, sorted by position:
hkl 0 1 0, d 3.853, rel. 93
hkl 1 1 -1, d 2.725, rel. 100
hkl 1 0 1, d 2.503, rel. 16
hkl 2 0 0, d 2.099, rel. 96
hkl 2 0 -2, d 1.929, rel. 19
hkl 0 2 0, d 1.924, rel. 18
hkl 2 1 0, d 1.843, rel. 26
hkl 2 1 -2, d 1.723, rel. 21
hkl 0 2 2, d 1.420, rel. 42
hkl 2 2 0, d 1.419, rel. 14

Structural model:
Unit cell a=4.598 b=3.848 c=4.600 alpha=90.00 beta=114.05 gamma=90.00
Space group P2/m (No. 10)
Asymmetric unit:
Np: 0.000 0.000 0.000 x1
U: 0.500 0.000 0.500 x1
Si: 0.500 0.500 0.000 x1
Ge: 0.000 0.500 0.500 x1

Entry 2:
Diffraction record for NpTcGe. The PXRD pattern is computed, not measured: it uses a GGA-PBE-relaxed structure and Cu Kα (λ = 1.5418 Å).
Peak positions follow from Bragg's law for the DFT cell and can differ from measured ones.

Principal peaks in the range 10° ≤ 2θ ≤ 80°, sorted by position:
hkl 0 1 1, d 3.883, rel. 27
hkl 2 1 1, d 2.589, rel. 100
hkl 2 0 2, d 2.457, rel. 18
hkl 0 2 0, d 2.340, rel. 30
hkl 1 0 3, d 2.198, rel. 30
hkl 0 1 3, d 2.077, rel. 13
hkl 1 2 3, d 1.602, rel. 23
hkl 1 1 4, d 1.586, rel. 14
hkl 2 3 1, d 1.394, rel. 17
hkl 3 1 4, d 1.333, rel. 12

Structural model:
Unit cell a=6.948 b=4.681 c=6.952 alpha=90.00 beta=90.00 gamma=90.00
Space group Pnma (No. 62)
Asymmetric unit:
Np: 0.023 0.250 0.191 x4
Tc: 0.158 0.750 0.466 x4
Ge: 0.207 0.250 0.617 x4

Entry 3:
Diffraction record for NpTcGe. The PXRD pattern is computed, not measured: it uses a GGA-PBE-relaxed structure and Cu Kα (λ = 1.5418 Å).
Peak positions follow from Bragg's law for the DFT cell and can differ from measured ones.

Principal peaks in the range 10° ≤ 2θ ≤ 80°, sorted by position:
hkl 0 0 1, d 4.419, rel. 47
hkl 1 0 0, d 3.981, rel. 49
hkl 1 0 -1, d 3.925, rel. 39
hkl 1 0 1, d 2.472, rel. 96
hkl 1 0 -2, d 2.431, rel. 100
hkl 0 2 0, d 2.340, rel. 45
hkl 1 -2 0, d 2.323, rel. 68
hkl 0 2 -2, d 2.259, rel. 68
hkl 2 0 -1, d 2.210, rel. 73
hkl 1 2 -1, d 2.171, rel. 54

Structural model:
Unit cell a=4.436 b=5.406 c=5.437 alpha=115.55 beta=110.72 gamma=94.88
Space group P-1 (No. 2)
Asymmetric unit:
Np: 0.056 0.246 0.020 x2
Tc: 0.292 0.354 0.667 x2
Ge: 0.346 0.853 0.636 x2

Entry 4:
Diffraction record for NpGeTe3. The PXRD pattern is computed, not measured: it uses a GGA-PBE-relaxed structure and Cu Kα (λ = 1.5418 Å).
Peak positions follow from Bragg's law for the DFT cell and can differ from measured ones.

Principal peaks in the range 10° ≤ 2θ ≤ 80°, sorted by position:
hkl 0 4 0, d 5.144, rel. 52
hkl 0 2 2, d 3.642, rel. 37
hkl 1 3 1, d 3.339, rel. 100
hkl 1 5 1, d 2.801, rel. 78
hkl 0 6 2, d 2.573, rel. 54
hkl 1 7 1, d 2.329, rel. 51
hkl 1 1 3, d 2.222, rel. 77
hkl 2 0 0, d 2.194, rel. 36
hkl 2 6 2, d 1.670, rel. 30
hkl 1 13 3, d 1.291, rel. 27

Structural model:
Unit cell a=4.388 b=20.560 c=7.793 alpha=90.00 beta=90.00 gamma=90.00
Space group Ama2 (No. 40)
Asymmetric unit:
Np: 0.250 0.170 0.000 x4
Ge: 0.250 0.346 0.988 x4
Te: 0.250 0.089 0.332 x4
Te: 0.250 0.250 0.670 x4
Te: 0.250 0.407 0.321 x4

Entry 5:
Diffraction record for Np2Tl3GeTe6. The PXRD pattern is computed, not measured: it uses a GGA-PBE-relaxed structure and Cu Kα (λ = 1.5418 Å).
Peak positions follow from Bragg's law for the DFT cell and can differ from measured ones.

Principal peaks in the range 10° ≤ 2θ ≤ 80°, sorted by position:
hkl 2 0 0, d 3.693, rel. 6
hkl 1 3 1, d 3.263, rel. 100
hkl 1 3 -3, d 2.383, rel. 37
hkl 0 6 0, d 2.239, rel. 38
hkl 0 0 4, d 2.013, rel. 6
hkl 4 0 0, d 1.846, rel. 20
hkl 4 0 -4, d 1.632, rel. 12
hkl 3 3 -5, d 1.497, rel. 14
hkl 5 3 -3, d 1.425, rel. 17
hkl 4 6 -4, d 1.319, rel. 11

Structural model:
Unit cell a=7.756 b=13.436 c=8.458 alpha=90.00 beta=107.80 gamma=90.00
Space group C2/m (No. 12)
Asymmetric unit:
Np: 0.000 0.166 0.000 x4
Tl: 0.000 0.000 0.500 x2
Tl: 0.000 0.331 0.500 x4
Ge: 0.000 0.500 0.000 x2
Te: 0.234 0.335 0.208 x8
Te: 0.239 0.000 0.209 x4

Entry 6:
Diffraction record for ZnGeOsO2. The PXRD pattern is computed, not measured: it uses a GGA-PBE-relaxed structure and Cu Kα (λ = 1.5418 Å).
Peak positions follow from Bragg's law for the DFT cell and can differ from measured ones.

Principal peaks in the range 10° ≤ 2θ ≤ 80°, sorted by position:
hkl 0 0 1, d 5.428, rel. 73
hkl 1 0 0, d 3.645, rel. 99
hkl 0 0 2, d 2.714, rel. 87
hkl 1 1 0, d 2.577, rel. 100
hkl 1 1 1, d 2.328, rel. 77
hkl 1 0 2, d 2.177, rel. 50
hkl 1 1 2, d 1.869, rel. 79
hkl 2 0 0, d 1.822, rel. 52
hkl 2 0 2, d 1.513, rel. 55
hkl 2 1 2, d 1.397, rel. 25

Structural model:
Unit cell a=3.645 b=3.645 c=5.428 alpha=90.00 beta=90.00 gamma=90.00
Space group P4/mmm (No. 123)
Asymmetric unit:
Zn: 0.000 0.000 0.000 x1
Ge: 0.500 0.500 0.500 x1
Os: 0.500 0.500 0.000 x1
O: 0.000 0.500 0.500 x2

Entry 7:
Diffraction record for Ge5P6O25. The PXRD pattern is computed, not measured: it uses a GGA-PBE-relaxed structure and Cu Kα (λ = 1.5418 Å).
Peak positions follow from Bragg's law for the DFT cell and can differ from measured ones.

Principal peaks in the range 10° ≤ 2θ ≤ 80°, sorted by position:
hkl 0 0 3, d 8.397, rel. 76
hkl 1 0 1, d 6.782, rel. 29
hkl 0 1 2, d 6.146, rel. 34
hkl 0 1 5, d 4.098, rel. 78
hkl 1 1 0, d 4.066, rel. 91
hkl 2 -1 3, d 3.659, rel. 100
hkl 2 -1 6, d 2.921, rel. 29
hkl 2 0 5, d 2.886, rel. 66
hkl 3 0 0, d 2.347, rel. 44
hkl 4 1 0, d 1.537, rel. 38

Structural model:
Unit cell a=8.1311 b=8.1311 c=25.1918 alpha=90.00 beta=90.00 gamma=120.00
Space group R-3 (No. 148, hexagonal axes)
Asymmetric unit:
Ge: 0.0000 0.0000 0.0000 x3
Ge: 0.0000 0.0000 0.1773 x6
Ge: 0.0000 0.0000 0.4320 x6
P: 0.0214 0.2889 0.9088 x18
O: 0.0000 0.0000 0.5000 x3
O: 0.0273 0.8135 0.4062 x18
O: 0.0753 0.2197 0.9586 x18
O: 0.0836 0.8719 0.7787 x18
O: 0.0872 0.8655 0.1339 x18

Entry 8:
Diffraction record for Pr3GePO9. The PXRD pattern is computed, not measured: it uses a GGA-PBE-relaxed structure and Cu Kα (λ = 1.5418 Å).
Peak positions follow from Bragg's law for the DFT cell and can differ from measured ones.

Principal peaks in the range 10° ≤ 2θ ≤ 80°, sorted by position:
hkl 1 1 -2, d 4.441, rel. 33
hkl 2 1 -1, d 3.420, rel. 41
hkl 1 1 -3, d 3.181, rel. 51
hkl 0 4 0, d 3.153, rel. 88
hkl 2 2 -1, d 3.096, rel. 100
hkl 1 1 2, d 2.986, rel. 63
hkl 1 2 -3, d 2.915, rel. 33
hkl 1 3 2, d 2.481, rel. 25
hkl 0 4 4, d 1.815, rel. 24
hkl 2 6 -1, d 1.809, rel. 22

Structural model:
Unit cell a=7.131 b=12.616 c=9.864 alpha=90.00 beta=115.93 gamma=90.00
Space group P2_1/c (No. 14)
Asymmetric unit:
Pr: 0.038 0.133 0.371 x4
Pr: 0.365 0.610 0.875 x4
Pr: 0.388 0.129 0.144 x4
Ge: 0.196 0.102 0.735 x4
P: 0.221 0.663 0.523 x4
O: 0.001 0.156 0.108 x4
O: 0.062 0.575 0.911 x4
O: 0.177 0.175 0.880 x4
O: 0.239 0.743 0.650 x4
O: 0.287 0.556 0.607 x4
O: 0.290 0.529 0.273 x4
O: 0.313 0.174 0.634 x4
O: 0.371 0.078 0.376 x4
O: 0.372 0.704 0.459 x4

Entry 9:
Diffraction record for PaGeO6. The PXRD pattern is computed, not measured: it uses a GGA-PBE-relaxed structure and Cu Kα (λ = 1.5418 Å).
Peak positions follow from Bragg's law for the DFT cell and can differ from measured ones.

Principal peaks in the range 10° ≤ 2θ ≤ 80°, sorted by position:
hkl 0 0 1, d 5.044, rel. 30
hkl 1 1 0, d 4.141, rel. 39
hkl 1 1 -1, d 3.366, rel. 100
hkl 0 2 0, d 3.153, rel. 43
hkl 1 1 1, d 3.058, rel. 85
hkl 2 0 0, d 2.746, rel. 21
hkl 2 2 0, d 2.070, rel. 32
hkl 0 2 2, d 1.970, rel. 28
hkl 1 3 1, d 1.802, rel. 29
hkl 3 1 -1, d 1.728, rel. 20

Structural model:
Unit cell a=5.538 b=6.307 c=5.087 alpha=90.00 beta=97.42 gamma=90.00
Space group C2/m (No. 12)
Asymmetric unit:
Pa: 0.000 0.000 0.000 x2
Ge: 0.000 0.500 0.500 x2
O: 0.158 0.320 0.765 x8
O: 0.211 0.000 0.680 x4

Repeat the ninth record exactly.
Diffraction record for PaGeO6. The PXRD pattern is computed, not measured: it uses a GGA-PBE-relaxed structure and Cu Kα (λ = 1.5418 Å).
Peak positions follow from Bragg's law for the DFT cell and can differ from measured ones.

Principal peaks in the range 10° ≤ 2θ ≤ 80°, sorted by position:
hkl 0 0 1, d 5.044, rel. 30
hkl 1 1 0, d 4.141, rel. 39
hkl 1 1 -1, d 3.366, rel. 100
hkl 0 2 0, d 3.153, rel. 43
hkl 1 1 1, d 3.058, rel. 85
hkl 2 0 0, d 2.746, rel. 21
hkl 2 2 0, d 2.070, rel. 32
hkl 0 2 2, d 1.970, rel. 28
hkl 1 3 1, d 1.802, rel. 29
hkl 3 1 -1, d 1.728, rel. 20

Structural model:
Unit cell a=5.538 b=6.307 c=5.087 alpha=90.00 beta=97.42 gamma=90.00
Space group C2/m (No. 12)
Asymmetric unit:
Pa: 0.000 0.000 0.000 x2
Ge: 0.000 0.500 0.500 x2
O: 0.158 0.320 0.765 x8
O: 0.211 0.000 0.680 x4